The following is a calculated powder XRD pattern of CsMoO2F3. It was derived from DFT lattice parameters and positions (GGA+U), using Cu Ka.

Largest 6 diffraction maxima, sorted by position, 2θ from 15° to 90°:
Position (°2θ)	I/Imax	(hkl)
23.9	100.0	1 1 2
24.4	24.6	0 0 4
26.7	23.6	0 2 0
40.3	17.7	2 0 4
42.6	20.2	1 1 6
45.6	22.2	1 3 2

Structure:
```
data_CsMoO2F3
_cell_length_a 5.672
_cell_length_b 6.667
_cell_length_c 14.611
_cell_angle_alpha 90.00
_cell_angle_beta 90.00
_cell_angle_gamma 90.00
_space_group_name_H-M_alt 'I m m a'
_space_group_IT_number 74
_space_group_name_Hall '-I 2b 2'
loop_
_atom_site_label
_atom_site_fract_x
_atom_site_fract_y
_atom_site_fract_z
_atom_site_occupancy
Cs1 0.000 0.250 0.127 1
Mo1 0.000 0.250 0.636 1
O1 0.237 0.250 0.562 1
F1 0.000 0.036 0.334 1
F2 0.250 0.250 0.750 1
```